No. 1
Computed X-ray powder pattern
Compound: Sr4Br5N2
Radiation: Cu Kα X-rays
Structure: a DFT-relaxed cell (GGA-PBE, Alexandria)
Intensities are scaled so that the largest is 100.

Structure:
a b c (Å): 10.2650 10.2650 10.2650
angles (deg): 155.99 133.35 53.13
Fractional coordinates of all 11 atoms:
Sr  0.1713  0.1713  0.0000
Sr  0.2083  0.5000  0.7083
Sr  0.7917  0.5000  0.2917
Sr  0.8287  0.8287  0.0000
Br  0.1030  0.3341  0.7689
Br  0.4348  0.6659  0.7689
Br  0.5000  0.0000  0.5000
Br  0.5652  0.3341  0.2311
Br  0.8970  0.6659  0.2311
N  0.0364  0.0364  0.0000
N  0.9636  0.9636  0.0000

Main lines, low angle first (10 to 80 degrees two-theta):
Position (°2θ), I_rel
25.48, 32
29.18, 66
30.76, 100
36.26, 28
39.22, 51
46.34, 35



No. 2
Computed X-ray powder pattern
Compound: AcTbGe
Radiation: Cu Kα X-rays
Structure: a DFT-relaxed cell (GGA-PBE, Alexandria)
Intensities are scaled so that the largest is 100.

Structure:
a b c (Å): 4.6483 4.6483 8.4820
angles (deg): 90.00 90.00 90.00
Fractional coordinates of all 6 atoms:
Ac  0.2500  0.2500  0.1431
Ac  0.7500  0.7500  0.8569
Tb  0.2500  0.7500  0.5000
Tb  0.7500  0.2500  0.5000
Ge  0.2500  0.2500  0.7416
Ge  0.7500  0.7500  0.2584

Main lines, low angle first (10 to 80 degrees two-theta):
Position (°2θ), I_rel
28.49, 62
29.14, 100
34.52, 61
38.74, 57
48.79, 29
50.86, 31



No. 3
Computed X-ray powder pattern
Compound: ZnPtC6N6
Radiation: Cu Kα X-rays
Structure: a DFT-relaxed cell (GGA-PBE, Alexandria)
Intensities are scaled so that the largest is 100.

Structure:
a b c (Å): 7.5408 7.5408 7.5408
angles (deg): 60.00 60.00 60.00
Fractional coordinates of all 14 atoms:
Zn  0.0000  0.0000  0.0000
Pt  0.5000  0.5000  0.5000
C  0.3104  0.3104  0.6896
C  0.3104  0.6896  0.3104
C  0.3104  0.6896  0.6896
C  0.6896  0.3104  0.3104
C  0.6896  0.3104  0.6896
C  0.6896  0.6896  0.3104
N  0.2014  0.2014  0.7986
N  0.2014  0.7986  0.2014
N  0.2014  0.7986  0.7986
N  0.7986  0.2014  0.2014
N  0.7986  0.2014  0.7986
N  0.7986  0.7986  0.2014

Main lines, low angle first (10 to 80 degrees two-theta):
Position (°2θ), I_rel
14.39, 23
16.63, 100
23.60, 42
33.62, 22
37.72, 38
51.41, 18



No. 4
Computed X-ray powder pattern
Compound: LiMnN2
Radiation: Cu Kα X-rays
Structure: a DFT-relaxed cell (GGA-PBE, Alexandria)
Intensities are scaled so that the largest is 100.

Structure:
a b c (Å): 5.3553 6.4634 5.1019
angles (deg): 90.00 90.00 90.00
Fractional coordinates of all 16 atoms:
Li  0.0842  0.1224  0.0000
Li  0.4158  0.6224  0.5000
Li  0.5842  0.3776  0.0000
Li  0.9158  0.8776  0.5000
Mn  0.0723  0.6260  0.0096
Mn  0.4277  0.1260  0.5096
Mn  0.5723  0.8740  0.0096
Mn  0.9277  0.3740  0.5096
N  0.0467  0.5922  0.3511
N  0.1096  0.1563  0.4242
N  0.3904  0.6563  0.9242
N  0.4533  0.0922  0.8511
N  0.5467  0.9078  0.3511
N  0.6096  0.3437  0.4242
N  0.8904  0.8437  0.9242
N  0.9533  0.4078  0.8511

Main lines, low angle first (10 to 80 degrees two-theta):
Position (°2θ), I_rel
21.55, 85
22.20, 100
32.36, 31
33.47, 24
35.18, 36
36.96, 51



No. 5
Computed X-ray powder pattern
Compound: Li3Si2
Radiation: Cu Kα X-rays
Structure: a DFT-relaxed cell (GGA-PBE, Alexandria)
Intensities are scaled so that the largest is 100.

Structure:
a b c (Å): 5.6170 5.6170 5.1944
angles (deg): 91.10 91.10 87.24
Fractional coordinates of all 10 atoms:
Li  0.0641  0.9359  0.7500
Li  0.2478  0.4431  0.5931
Li  0.4431  0.2478  0.0931
Li  0.5569  0.7522  0.9069
Li  0.7522  0.5569  0.4069
Li  0.9359  0.0641  0.2500
Si  0.1322  0.6218  0.1185
Si  0.3782  0.8678  0.3815
Si  0.6218  0.1322  0.6185
Si  0.8678  0.3782  0.8815

Main lines, low angle first (10 to 80 degrees two-theta):
Position (°2θ), I_rel
22.95, 53
23.13, 100
39.66, 27
40.42, 43
40.74, 21
48.19, 16



No. 6
Computed X-ray powder pattern
Compound: Y2HoMg9
Radiation: Cu Kα X-rays
Structure: a DFT-relaxed cell (GGA-PBE, Alexandria)
Intensities are scaled so that the largest is 100.

Structure:
a b c (Å): 10.2701 10.2701 10.2701
angles (deg): 34.23 34.23 34.23
Fractional coordinates of all 12 atoms:
Y  0.1422  0.1422  0.1422
Y  0.8578  0.8578  0.8578
Ho  0.0000  0.0000  0.0000
Mg  0.0789  0.5867  0.5867
Mg  0.3342  0.3342  0.3342
Mg  0.4133  0.4133  0.9211
Mg  0.4133  0.9211  0.4133
Mg  0.5000  0.5000  0.5000
Mg  0.5867  0.0789  0.5867
Mg  0.5867  0.5867  0.0789
Mg  0.6659  0.6659  0.6659
Mg  0.9211  0.4133  0.4133

Main lines, low angle first (10 to 80 degrees two-theta):
Position (°2θ), I_rel
17.21, 58
27.47, 66
29.56, 67
30.00, 45
34.41, 42
35.03, 100



No. 7
Computed X-ray powder pattern
Compound: RbS2O
Radiation: Cu Kα X-rays
Structure: a DFT-relaxed cell (GGA-PBE, Alexandria)
Intensities are scaled so that the largest is 100.

Structure:
a b c (Å): 5.5457 5.5457 11.7605
angles (deg): 90.00 90.00 90.00
Fractional coordinates of all 16 atoms:
Rb  0.0000  0.2500  0.3750
Rb  0.0000  0.7500  0.6250
Rb  0.5000  0.2500  0.1250
Rb  0.5000  0.7500  0.8750
S  0.0000  0.0000  0.0000
S  0.0000  0.5000  0.0000
S  0.2500  0.2500  0.7500
S  0.2500  0.7500  0.2500
S  0.5000  0.0000  0.5000
S  0.5000  0.5000  0.5000
S  0.7500  0.2500  0.7500
S  0.7500  0.7500  0.2500
O  0.0000  0.2500  0.8750
O  0.0000  0.7500  0.1250
O  0.5000  0.2500  0.6250
O  0.5000  0.7500  0.3750

Main lines, low angle first (10 to 80 degrees two-theta):
Position (°2θ), I_rel
27.34, 100
27.87, 60
32.28, 32
37.05, 55
54.61, 26
56.41, 31



No. 8
Computed X-ray powder pattern
Compound: BC3
Radiation: Cu Kα X-rays
Structure: a DFT-relaxed cell (GGA-PBE, Alexandria)
Intensities are scaled so that the largest is 100.

Structure:
a b c (Å): 4.5335 2.5200 6.5073
angles (deg): 90.00 91.15 90.00
Fractional coordinates of all 12 atoms:
B  0.0000  0.0000  0.0000
B  0.1669  0.5000  0.6561
B  0.5069  0.5000  0.9922
C  0.0050  0.0000  0.2487
C  0.1719  0.5000  0.8950
C  0.3456  0.0000  0.3228
C  0.3608  0.0000  0.5560
C  0.5103  0.5000  0.2406
C  0.6751  0.0000  0.8815
C  0.6761  0.0000  0.6476
C  0.8359  0.5000  0.5644
C  0.8414  0.5000  0.3272

Main lines, low angle first (10 to 80 degrees two-theta):
Position (°2θ), I_rel
41.65, 43
42.50, 51
43.24, 100
71.81, 25
72.16, 13
73.01, 25



No. 9
Computed X-ray powder pattern
Compound: Th2ScBi2N2
Radiation: Cu Kα X-rays
Structure: a DFT-relaxed cell (GGA-PBE, Alexandria)
Intensities are scaled so that the largest is 100.

Structure:
a b c (Å): 4.2589 4.2589 16.9361
angles (deg): 90.00 90.00 90.00
Fractional coordinates of all 14 atoms:
Th  0.0000  0.0000  0.0973
Th  0.0000  0.0000  0.9027
Th  0.5000  0.5000  0.4027
Th  0.5000  0.5000  0.5973
Sc  0.0000  0.0000  0.5000
Sc  0.5000  0.5000  0.0000
Bi  0.0000  0.0000  0.3105
Bi  0.0000  0.0000  0.6895
Bi  0.5000  0.5000  0.1895
Bi  0.5000  0.5000  0.8105
N  0.0000  0.5000  0.0000
N  0.0000  0.5000  0.5000
N  0.5000  0.0000  0.0000
N  0.5000  0.0000  0.5000

Main lines, low angle first (10 to 80 degrees two-theta):
Position (°2θ), I_rel
29.66, 69
33.81, 100
42.45, 30
55.34, 50
62.96, 14
69.84, 13



No. 10
Computed X-ray powder pattern
Compound: RbGaAu
Radiation: Cu Kα X-rays
Structure: a DFT-relaxed cell (GGA-PBE, Alexandria)
Intensities are scaled so that the largest is 100.

Structure:
a b c (Å): 7.2093 7.2093 7.2093
angles (deg): 90.00 90.00 90.00
Fractional coordinates of all 12 atoms:
Rb  0.1348  0.1348  0.1348
Rb  0.3652  0.8652  0.6348
Rb  0.6348  0.3652  0.8652
Rb  0.8652  0.6348  0.3652
Ga  0.1493  0.3507  0.6493
Ga  0.3507  0.6493  0.1493
Ga  0.6493  0.1493  0.3507
Ga  0.8507  0.8507  0.8507
Au  0.0968  0.5968  0.9032
Au  0.4032  0.4032  0.4032
Au  0.5968  0.9032  0.0968
Au  0.9032  0.0968  0.5968

Main lines, low angle first (10 to 80 degrees two-theta):
Position (°2θ), I_rel
17.40, 48
27.67, 65
30.37, 100
39.53, 18
47.17, 63
50.65, 19



No. 11
Computed X-ray powder pattern
Compound: K3Pt2
Radiation: Cu Kα X-rays
Structure: a DFT-relaxed cell (GGA-PBE, Alexandria)
Intensities are scaled so that the largest is 100.

Structure:
a b c (Å): 11.8914 6.5980 13.2068
angles (deg): 63.94 29.90 86.16
Fractional coordinates of all 10 atoms:
K  0.0000  0.0000  0.0000
K  0.2103  0.7031  0.5727
K  0.2500  0.2500  0.2500
K  0.6773  0.7361  0.0397
K  0.7031  0.2103  0.5139
K  0.7361  0.6773  0.5469
Pt  0.2284  0.6555  0.8083
Pt  0.4417  0.9422  0.0216
Pt  0.6555  0.2284  0.3078
Pt  0.9422  0.4417  0.5945

Main lines, low angle first (10 to 80 degrees two-theta):
Position (°2θ), I_rel
15.19, 52
16.22, 100
28.22, 16
32.77, 31
34.02, 19
40.07, 18